1.
The following is a simulated powder XRD pattern of SrV2ZnO7. It was derived from a DFT-relaxed cell (PBE+U, the Materials Project), using copper Kα.
Neutral-atom scattering factors, no anomalous dispersion.

Main lines, by angle (2θ from 5° to 70°):
2θ 26.17, d = 3.406 Å, rel. 40; 2θ 26.48, d = 3.366 Å, rel. 100; 2θ 27.36, d = 3.260 Å, rel. 37; 2θ 28.89, d = 3.090 Å, rel. 57; 2θ 29.18, d = 3.060 Å, rel. 44; 2θ 29.60, d = 3.018 Å, rel. 51; 2θ 31.96, d = 2.800 Å, rel. 26; 2θ 34.62, d = 2.591 Å, rel. 32

Structural model:
Cell lengths 7.5973, 6.7728, 13.6243 Å; angles 90.00, 117.63, 90.00 degrees
Fractional positions:
Sr 0.2312 0.1494 0.4763
Sr 0.2312 0.3506 0.9763
Sr 0.7688 0.6494 0.0237
Sr 0.7688 0.8506 0.5237
V 0.2174 0.6562 0.4615
V 0.2174 0.8438 0.9615
V 0.3060 0.5887 0.7204
V 0.3060 0.9113 0.2204
V 0.6940 0.0887 0.7796
V 0.6940 0.4113 0.2796
V 0.7826 0.1562 0.0385
V 0.7826 0.3438 0.5385
Zn 0.2104 0.1078 0.7329
Zn 0.2104 0.3922 0.2329
Zn 0.7896 0.6078 0.7671
Zn 0.7896 0.8922 0.2671
O 0.0177 0.6761 0.9200
O 0.0177 0.8239 0.4200
O 0.1699 0.6976 0.1942
O 0.1699 0.8024 0.6942
O 0.2025 0.0285 0.8710
O 0.2025 0.4715 0.3710
O 0.2284 0.0891 0.2819
O 0.2284 0.4109 0.7819
O 0.2525 0.5067 0.5802
O 0.2525 0.9933 0.0802
O 0.4151 0.6960 0.9944
O 0.4151 0.8040 0.4944
O 0.4411 0.1310 0.6994
O 0.4411 0.3690 0.1994
O 0.5589 0.6310 0.8006
O 0.5589 0.8690 0.3006
O 0.5849 0.1960 0.5056
O 0.5849 0.3040 0.0056
O 0.7475 0.0067 0.9198
O 0.7475 0.4933 0.4198
O 0.7716 0.5891 0.2181
O 0.7716 0.9109 0.7181
O 0.7975 0.5285 0.6290
O 0.7975 0.9715 0.1290
O 0.8301 0.1976 0.3058
O 0.8301 0.3024 0.8058
O 0.9823 0.1761 0.5800
O 0.9823 0.3239 0.0800

2.
The following is a simulated powder XRD pattern of Sr4MgMn4O10. It was derived from a DFT-relaxed cell (PBE+U, the Materials Project), using copper Kα.
Neutral-atom scattering factors, no anomalous dispersion.

Main lines, by angle (2θ from 5° to 70°):
2θ 11.08, d = 7.988 Å, rel. 25; 2θ 29.36, d = 3.042 Å, rel. 26; 2θ 30.14, d = 2.965 Å, rel. 73; 2θ 30.91, d = 2.893 Å, rel. 53; 2θ 31.57, d = 2.834 Å, rel. 100; 2θ 31.86, d = 2.809 Å, rel. 64; 2θ 41.78, d = 2.162 Å, rel. 27; 2θ 45.58, d = 1.990 Å, rel. 36

Structural model:
Cell lengths 5.8148, 5.9575, 8.8370 Å; angles 71.18, 72.10, 85.11 degrees
Fractional positions:
Sr 0.0000 0.0000 0.0000
Sr 0.1214 0.1443 0.5787
Sr 0.5484 0.4866 0.9868
Sr 0.7363 0.7523 0.5559
Mg 0.5522 0.4149 0.4293
Mn 0.0111 0.4252 0.2315
Mn 0.1310 0.5957 0.7579
Mn 0.3862 0.8216 0.2696
Mn 0.5789 0.0908 0.7923
O 0.0389 0.4258 0.9994
O 0.2004 0.7667 0.5137
O 0.3282 0.4483 0.2907
O 0.3681 0.8575 0.7838
O 0.3924 0.3710 0.6777
O 0.4278 0.0405 0.0436
O 0.7565 0.7027 0.2798
O 0.7994 0.1781 0.4383
O 0.8213 0.3194 0.7708
O 0.8484 0.8251 0.8002

3.
The following is a simulated powder XRD pattern of CaMo2P2O9. It was derived from a DFT-relaxed cell (PBE+U, the Materials Project), using copper Kα.
Neutral-atom scattering factors, no anomalous dispersion.

Main lines, by angle (2θ from 5° to 70°):
2θ 13.23, d = 6.694 Å, rel. 31; 2θ 16.72, d = 5.302 Å, rel. 52; 2θ 21.33, d = 4.165 Å, rel. 35; 2θ 24.54, d = 3.627 Å, rel. 87; 2θ 26.47, d = 3.367 Å, rel. 39; 2θ 29.68, d = 3.010 Å, rel. 100; 2θ 32.06, d = 2.792 Å, rel. 47; 2θ 37.85, d = 2.377 Å, rel. 37

Structural model:
Cell lengths 15.0468, 6.7418, 7.4743 Å; angles 90.00, 90.00, 90.00 degrees
Fractional positions:
Ca 0.2219 0.2500 0.1004
Ca 0.2781 0.7500 0.6004
Ca 0.7219 0.2500 0.3996
Ca 0.7781 0.7500 0.8996
Mo 0.0000 0.0000 0.0000
Mo 0.0000 0.5000 0.0000
Mo 0.1234 0.2500 0.6362
Mo 0.3766 0.7500 0.1362
Mo 0.5000 0.0000 0.5000
Mo 0.5000 0.5000 0.5000
Mo 0.6234 0.2500 0.8638
Mo 0.8766 0.7500 0.3638
P 0.0722 0.7500 0.6317
P 0.1906 0.7500 0.1041
P 0.3094 0.2500 0.6041
P 0.4278 0.2500 0.1317
P 0.5722 0.7500 0.8683
P 0.6906 0.7500 0.3959
P 0.8094 0.2500 0.8959
P 0.9278 0.2500 0.3683
O 0.0039 0.7500 0.4836
O 0.0218 0.7500 0.8175
O 0.0625 0.2500 0.8833
O 0.1338 0.5575 0.1031
O 0.1338 0.9425 0.1031
O 0.1362 0.5699 0.6261
O 0.1362 0.9301 0.6261
O 0.2409 0.2500 0.4455
O 0.2502 0.2500 0.7763
O 0.2498 0.7500 0.2763
O 0.2591 0.7500 0.9455
O 0.3638 0.0699 0.1261
O 0.3638 0.4301 0.1261
O 0.3661 0.0575 0.6031
O 0.3661 0.4425 0.6031
O 0.4375 0.7500 0.3833
O 0.4782 0.2500 0.3175
O 0.4961 0.2500 0.9836
O 0.5039 0.7500 0.0164
O 0.5218 0.7500 0.6825
O 0.5625 0.2500 0.6167
O 0.6338 0.5575 0.3969
O 0.6338 0.9425 0.3969
O 0.6362 0.5699 0.8739
O 0.6362 0.9301 0.8739
O 0.7409 0.2500 0.0545
O 0.7502 0.2500 0.7237
O 0.7498 0.7500 0.2237
O 0.7591 0.7500 0.5545
O 0.8638 0.0699 0.3739
O 0.8638 0.4301 0.3739
O 0.8662 0.0575 0.8969
O 0.8662 0.4425 0.8969
O 0.9375 0.7500 0.1167
O 0.9782 0.2500 0.1825
O 0.9961 0.2500 0.5164

4.
The following is a simulated powder XRD pattern of EuMgNiO3. It was derived from a DFT-relaxed cell (PBE+U, the Materials Project), using copper Kα.
Neutral-atom scattering factors, no anomalous dispersion.

Main lines, by angle (2θ from 5° to 70°):
2θ 24.98, d = 3.564 Å, rel. 86; 2θ 26.56, d = 3.356 Å, rel. 100; 2θ 33.31, d = 2.690 Å, rel. 47; 2θ 42.09, d = 2.147 Å, rel. 50; 2θ 44.98, d = 2.015 Å, rel. 25; 2θ 47.82, d = 1.902 Å, rel. 27; 2θ 54.70, d = 1.678 Å, rel. 36; 2θ 55.54, d = 1.655 Å, rel. 27

Structural model:
Cell lengths 3.8039, 3.8039, 7.1284 Å; angles 90.00, 90.00, 90.00 degrees
Fractional positions:
Eu 0.0000 0.0000 0.0000
Mg 0.0000 0.0000 0.5000
Ni 0.5000 0.5000 0.5000
O 0.0000 0.5000 0.5000
O 0.5000 0.0000 0.5000
O 0.5000 0.5000 0.0000

5.
The following is a simulated powder XRD pattern of ZnNi4O8. It was derived from a DFT-relaxed cell (PBE+U, the Materials Project), using copper Kα.
Neutral-atom scattering factors, no anomalous dispersion.

Main lines, by angle (2θ from 5° to 70°):
2θ 12.74, d = 6.948 Å, rel. 68; 2θ 13.12, d = 6.747 Å, rel. 53; 2θ 17.40, d = 5.096 Å, rel. 100; 2θ 30.07, d = 2.972 Å, rel. 57; 2θ 35.22, d = 2.548 Å, rel. 80; 2θ 36.70, d = 2.449 Å, rel. 72; 2θ 36.98, d = 2.431 Å, rel. 53; 2θ 51.48, d = 1.775 Å, rel. 54

Structural model:
Cell lengths 6.9342, 6.9342, 9.2426 Å; angles 130.15, 130.15, 24.26 degrees
Fractional positions:
Zn 0.0000 0.0000 0.0000
Ni 0.2037 0.2037 0.0250
Ni 0.5095 0.5095 0.6583
Ni 0.7131 0.7131 0.3767
Ni 0.9990 0.9990 0.3142
O 0.1319 0.1319 0.7606
O 0.1893 0.1893 0.4873
O 0.2166 0.2166 0.2483
O 0.4919 0.4919 0.4397
O 0.5197 0.5197 0.1769
O 0.5532 0.5532 0.9059
O 0.8189 0.8189 0.1015
O 0.8949 0.8949 0.5855

6.
The following is a simulated powder XRD pattern of MgMn6O4F8. It was derived from a DFT-relaxed cell (PBE+U, the Materials Project), using copper Kα.
Neutral-atom scattering factors, no anomalous dispersion.

Main lines, by angle (2θ from 5° to 70°):
2θ 23.41, d = 3.801 Å, rel. 100; 2θ 26.30, d = 3.389 Å, rel. 99; 2θ 33.17, d = 2.701 Å, rel. 85; 2θ 34.17, d = 2.624 Å, rel. 39; 2θ 37.39, d = 2.405 Å, rel. 23; 2θ 47.82, d = 1.902 Å, rel. 40; 2θ 50.95, d = 1.792 Å, rel. 29; 2θ 58.39, d = 1.580 Å, rel. 28

Structural model:
Cell lengths 5.2326, 5.9688, 7.9198 Å; angles 84.95, 85.91, 84.54 degrees
Fractional positions:
Mg 0.0000 0.0000 0.0000
Mn 0.0082 0.9816 0.5133
Mn 0.1555 0.3420 0.1934
Mn 0.4936 0.8323 0.1901
Mn 0.5047 0.1261 0.8154
Mn 0.5336 0.4886 0.4922
Mn 0.9793 0.5958 0.8254
O 0.1584 0.3071 0.9486
O 0.1680 0.0084 0.2439
O 0.3782 0.5505 0.2637
O 0.8616 0.9416 0.7720
F 0.2010 0.6586 0.5987
F 0.3325 0.8281 0.9362
F 0.3502 0.1775 0.5753
F 0.6482 0.1134 0.0883
F 0.6771 0.4397 0.7364
F 0.6923 0.8126 0.4216
F 0.8483 0.6880 0.0864
F 0.8860 0.3242 0.4049

7.
The following is a simulated powder XRD pattern of FeP6W3O24. It was derived from a DFT-relaxed cell (PBE+U, the Materials Project), using copper Kα.
Neutral-atom scattering factors, no anomalous dispersion.

Main lines, by angle (2θ from 5° to 70°):
2θ 14.17, d = 6.251 Å, rel. 39; 2θ 19.93, d = 4.455 Å, rel. 100; 2θ 20.25, d = 4.386 Å, rel. 83; 2θ 23.64, d = 3.764 Å, rel. 36; 2θ 28.56, d = 3.126 Å, rel. 56; 2θ 31.81, d = 2.813 Å, rel. 41; 2θ 35.26, d = 2.545 Å, rel. 35; 2θ 35.45, d = 2.532 Å, rel. 28

Structural model:
Cell lengths 8.9125, 8.9125, 8.9125 Å; angles 58.96, 58.96, 58.96 degrees
Fractional positions:
Fe 0.0000 0.0000 0.0000
P 0.1073 0.3903 0.8234
P 0.3174 0.8952 0.6128
P 0.3903 0.8234 0.1073
P 0.6128 0.3174 0.8952
P 0.8234 0.1073 0.3903
P 0.8952 0.6128 0.3174
W 0.2161 0.2161 0.2161
W 0.5011 0.5011 0.5011
W 0.7160 0.7160 0.7160
O 0.0699 0.4352 0.2992
O 0.0817 0.2237 0.8488
O 0.1385 0.3683 0.9916
O 0.1443 0.9174 0.7791
O 0.2237 0.8488 0.0817
O 0.2776 0.4257 0.6456
O 0.2992 0.0699 0.4352
O 0.3544 0.7265 0.5727
O 0.3683 0.9916 0.1385
O 0.4257 0.6456 0.2776
O 0.4352 0.2992 0.0699
O 0.4932 0.8660 0.6366
O 0.5727 0.3544 0.7265
O 0.5727 0.7956 0.9379
O 0.6366 0.4932 0.8660
O 0.6456 0.2776 0.4257
O 0.7265 0.5727 0.3544
O 0.7791 0.1443 0.9174
O 0.7956 0.9379 0.5727
O 0.8488 0.0817 0.2237
O 0.8660 0.6366 0.4932
O 0.9174 0.7791 0.1443
O 0.9379 0.5727 0.7956
O 0.9916 0.1385 0.3683

8.
The following is a simulated powder XRD pattern of SrCaHfWO6. It was derived from a DFT-relaxed cell (PBE+U, the Materials Project), using copper Kα.
Neutral-atom scattering factors, no anomalous dispersion.

Main lines, by angle (2θ from 5° to 70°):
2θ 21.69, d = 4.098 Å, rel. 39; 2θ 30.86, d = 2.898 Å, rel. 100; 2θ 38.03, d = 2.366 Å, rel. 3; 2θ 44.20, d = 2.049 Å, rel. 31; 2θ 49.75, d = 1.833 Å, rel. 17; 2θ 54.88, d = 1.673 Å, rel. 40; 2θ 64.30, d = 1.449 Å, rel. 19; 2θ 68.72, d = 1.366 Å, rel. 8

Structural model:
Cell lengths 5.7951, 5.7951, 5.7951 Å; angles 60.00, 60.00, 60.00 degrees
Fractional positions:
Sr 0.0000 0.0000 0.0000
Ca 0.5000 0.5000 0.5000
Hf 0.7500 0.7500 0.7500
W 0.2500 0.2500 0.2500
O 0.0004 0.0004 0.4996
O 0.0004 0.4996 0.0004
O 0.0004 0.4996 0.4996
O 0.4996 0.0004 0.0004
O 0.4996 0.0004 0.4996
O 0.4996 0.4996 0.0004

9.
The following is a simulated powder XRD pattern of Li3Mn2O5. It was derived from a DFT-relaxed cell (PBE+U, the Materials Project), using copper Kα.
Neutral-atom scattering factors, no anomalous dispersion.

Main lines, by angle (2θ from 5° to 70°):
2θ 6.82, d = 12.956 Å, rel. 17; 2θ 18.33, d = 4.841 Å, rel. 100; 2θ 18.63, d = 4.763 Å, rel. 13; 2θ 34.60, d = 2.592 Å, rel. 20; 2θ 36.29, d = 2.476 Å, rel. 24; 2θ 41.82, d = 2.160 Å, rel. 30; 2θ 44.10, d = 2.054 Å, rel. 61; 2θ 62.26, d = 1.491 Å, rel. 16

Structural model:
Cell lengths 5.0978, 5.0978, 13.3043 Å; angles 102.61, 102.61, 32.77 degrees
Fractional positions:
Li 0.0000 0.0000 0.0000
Li 0.0885 0.0885 0.7141
Li 0.3014 0.3014 0.0861
Li 0.5000 0.5000 0.5000
Li 0.6986 0.6986 0.9139
Li 0.9115 0.9115 0.2859
Mn 0.2091 0.2091 0.3936
Mn 0.3864 0.3864 0.8154
Mn 0.6136 0.6136 0.1846
Mn 0.7909 0.7909 0.6064
O 0.0200 0.0200 0.8468
O 0.1560 0.1560 0.5560
O 0.2482 0.2482 0.2366
O 0.3466 0.3466 0.9413
O 0.4249 0.4249 0.6590
O 0.5751 0.5751 0.3410
O 0.6534 0.6534 0.0587
O 0.7518 0.7518 0.7634
O 0.8440 0.8440 0.4440
O 0.9800 0.9800 0.1532

> What is the formula in the ninth record?

Li3Mn2O5

Please write out number 6 again, unchanged.
The following is a simulated powder XRD pattern of MgMn6O4F8. It was derived from a DFT-relaxed cell (PBE+U, the Materials Project), using copper Kα.
Neutral-atom scattering factors, no anomalous dispersion.

Main lines, by angle (2θ from 5° to 70°):
2θ 23.41, d = 3.801 Å, rel. 100; 2θ 26.30, d = 3.389 Å, rel. 99; 2θ 33.17, d = 2.701 Å, rel. 85; 2θ 34.17, d = 2.624 Å, rel. 39; 2θ 37.39, d = 2.405 Å, rel. 23; 2θ 47.82, d = 1.902 Å, rel. 40; 2θ 50.95, d = 1.792 Å, rel. 29; 2θ 58.39, d = 1.580 Å, rel. 28

Structural model:
Cell lengths 5.2326, 5.9688, 7.9198 Å; angles 84.95, 85.91, 84.54 degrees
Fractional positions:
Mg 0.0000 0.0000 0.0000
Mn 0.0082 0.9816 0.5133
Mn 0.1555 0.3420 0.1934
Mn 0.4936 0.8323 0.1901
Mn 0.5047 0.1261 0.8154
Mn 0.5336 0.4886 0.4922
Mn 0.9793 0.5958 0.8254
O 0.1584 0.3071 0.9486
O 0.1680 0.0084 0.2439
O 0.3782 0.5505 0.2637
O 0.8616 0.9416 0.7720
F 0.2010 0.6586 0.5987
F 0.3325 0.8281 0.9362
F 0.3502 0.1775 0.5753
F 0.6482 0.1134 0.0883
F 0.6771 0.4397 0.7364
F 0.6923 0.8126 0.4216
F 0.8483 0.6880 0.0864
F 0.8860 0.3242 0.4049